1.
Theoretical X-ray powder pattern
Compound: Dy2TmAl2Cd3In
Radiation: Cu Kα, 1.54184 Å
Structure: DFT lattice parameters and positions (GGA-PBE)

Peak list (12 most intense, 2θ = 10–90°, in order of rising 2θ)
hkl 0 4 0, d 3.159, I 27
hkl 1 3 1, d 2.845, I 70
hkl 1 4 0, d 2.594, I 100
hkl 0 1 3, d 2.390, I 24
hkl 0 5 1, d 2.385, I 12
hkl 2 0 0, d 2.273, I 27
hkl 2 4 0, d 1.845, I 12
hkl 2 1 3, d 1.646, I 23
hkl 1 5 3, d 1.636, I 13
hkl 3 3 1, d 1.399, I 8
hkl 1 8 2, d 1.380, I 14
hkl 3 4 0, d 1.366, I 13

a b c (Å): 4.545 12.616 7.308
angles (deg): 90.00 90.00 90.00
Space group Amm2 (No. 38)
One atom of each set of equivalent atoms:
Dy 0.000 0.218 0.000 [4 per cell]
Tm 0.000 0.000 0.344 [2 per cell]
Al 0.500 0.166 0.281 [4 per cell]
Cd 0.500 0.000 0.037 [2 per cell]
Cd 0.500 0.128 0.654 [4 per cell]
In 0.000 0.000 0.780 [2 per cell]

***

2.
Theoretical X-ray powder pattern
Compound: Co2Mo4PdSe12
Radiation: Cu Kα, 1.54184 Å
Structure: DFT lattice parameters and positions (GGA-PBE)

Peak list (12 most intense, 2θ = 10–90°, in order of rising 2θ)
hkl 2 0 -1, d 6.805, I 100
hkl 2 0 0, d 6.402, I 23
hkl 2 0 -2, d 6.338, I 36
hkl 1 1 1, d 3.118, I 26
hkl 1 1 2, d 2.950, I 19
hkl 2 0 -7, d 2.742, I 26
hkl 3 1 -4, d 2.506, I 49
hkl 4 0 3, d 2.498, I 18
hkl 2 0 6, d 2.430, I 32
hkl 3 1 -6, d 2.221, I 40
hkl 5 1 0, d 2.028, I 29
hkl 0 2 0, d 1.660, I 29

a b c (Å): 13.611 3.321 19.245
angles (deg): 90.00 109.83 90.00
Space group C2/m (No. 12)
One atom of each set of equivalent atoms:
Co 0.228 0.000 0.283 [4 per cell]
Mo 0.123 0.500 0.150 [4 per cell]
Mo 0.245 0.500 0.405 [4 per cell]
Pd 0.000 0.000 0.000 [2 per cell]
Se 0.029 0.000 0.880 [4 per cell]
Se 0.099 0.500 0.283 [4 per cell]
Se 0.125 0.500 0.611 [4 per cell]
Se 0.137 0.000 0.454 [4 per cell]
Se 0.187 0.000 0.075 [4 per cell]
Se 0.192 0.000 0.766 [4 per cell]